Starting from DFT lattice parameters and positions (PBE+U), the X-ray powder pattern of KMnIO6 was calculated for Cu Ka.

Principal peaks in the range 2θ = 10–80°, low angle first:
h k l  d_spacing  2θ/deg  I (rel.)
0 0 4  6.111  14.49  100
1 0 0  4.439  20.00  21
1 1 4  3.594  24.77  73
1 1 -4  3.579  24.88  37
1 2 0  2.564  34.99  20
1 2 4  2.366  38.03  19
1 2 8  1.966  46.16  26
2 1 8  1.962  46.26  15

Cell and atoms:
```
KMnIO6
1.0
5.104 0.000 0.000
2.546 4.449 0.000
0.106 -0.022 24.444
K Mn I O
4 4 4 24
direct
0.000 0.000 0.000 K
0.000 0.000 0.250 K
0.001 0.999 0.750 K
0.999 0.000 0.500 K
0.333 0.334 0.375 Mn
0.334 0.332 0.875 Mn
0.334 0.333 0.125 Mn
0.338 0.319 0.625 Mn
0.667 0.666 0.625 I
0.667 0.667 0.125 I
0.667 0.667 0.375 I
0.667 0.667 0.875 I
0.001 0.616 0.331 O
0.009 0.397 0.670 O
0.382 0.621 0.169 O
0.382 0.621 0.919 O
0.383 0.617 0.419 O
0.384 0.995 0.081 O
0.384 0.995 0.831 O
0.385 0.997 0.331 O
0.387 0.003 0.580 O
0.398 0.608 0.670 O
0.596 0.397 0.580 O
0.612 0.000 0.670 O
0.618 0.998 0.419 O
0.620 0.384 0.331 O
0.621 0.996 0.169 O
0.621 0.996 0.919 O
0.622 0.383 0.081 O
0.623 0.383 0.831 O
0.992 0.610 0.579 O
0.994 0.384 0.169 O
0.994 0.384 0.919 O
0.996 0.384 0.419 O
0.998 0.621 0.081 O
0.998 0.621 0.831 O
```